The following is a calculated X-ray powder pattern of LuCuSe2. It was derived from a structure optimized by DFT (PBE), using λ = 1.5418 Å (Cu Kα).

abc: 4.0650 4.0650 6.3756
angles: 90.00 90.00 120.00
Space group P3m1 (No. 156)
Asymmetric unit:
Lu 0.0000 0.0000 0.0000
Cu 0.6667 0.3333 0.3774
Se 0.3333 0.6667 0.2716
Se 0.6667 0.3333 0.7676

The 6 most intense peaks (10° ≤ 2θ ≤ 80°), most intense first:
- (0 1 1), 28.97 deg, d = 3.082 Å, intensity 100
- (0 1 2), 38.08 deg, d = 2.363 Å, intensity 66
- (1 1 0), 44.58 deg, d = 2.033 Å, intensity 50
- (0 0 1), 13.89 deg, d = 6.376 Å, intensity 32
- (1 0 3), 50.14 deg, d = 1.819 Å, intensity 23
- (2 0 1), 54.05 deg, d = 1.697 Å, intensity 17